Structure and calculated X-ray powder pattern of Th4TlZn (a crystal structure in Alexandria, relaxed with PBE; Cu Kα X-rays).

Structure:
Cell: 7.7464 7.7464 5.8342 Å, 90.00 90.00 90.00°
Space group P4/mcc (No. 124)
Inequivalent atoms, fractional coordinates:
Th 0.1471 0.3356 0.0000 [8 per cell]
Tl 0.5000 0.5000 0.2500 [2 per cell]
Zn 0.0000 0.0000 0.2500 [2 per cell]

Peak list (6 most intense, 10° ≤ 2θ ≤ 90°, in order of falling intensity)
2θ/deg, I (rel.), (hkl)
30.00, 1000, 2 1 1
36.69, 361, 3 1 0
34.85, 218, 1 1 2
59.74, 216, 3 3 2
38.64, 202, 2 0 2
54.08, 200, 2 1 3